[1]
Simulated XRD peak list
Compound: Ba5NdO6
Radiation: Cu Ka
Structure: a structure optimized by DFT (PBE)
Neutral-atom scattering factors, no anomalous dispersion.

Cell and atoms:
```
Ba5NdO6
1.0
3.3711 -5.8461 0.0000
3.3711 5.8461 0.0000
-2.2324 0.0000 6.3382
Ba Nd O
5 1 6
direct
0.0000 0.0000 0.0000 Ba
0.1672 0.8328 0.5000 Ba
0.3344 0.6656 0.0000 Ba
0.6656 0.3344 0.0000 Ba
0.8328 0.1672 0.5000 Ba
0.5000 0.5000 0.5000 Nd
0.1257 0.4238 0.2729 O
0.2786 0.2786 0.7329 O
0.4238 0.1257 0.2729 O
0.5762 0.8743 0.7271 O
0.7214 0.7214 0.2671 O
0.8743 0.5762 0.7271 O
```

Most intense lines, 2θ from 10° to 90°, by angle:
2θ (°)  d (Å)  Rel. int.
28.07  3.179  90
28.16  3.169  30
32.55  2.751  100
46.64  1.948  35
46.75  1.943  35
55.33  1.660  34
55.44  1.657  19
75.19  1.264  13
77.63  1.230  15
86.59  1.124  13

***

[2]
Simulated XRD peak list
Compound: BaNdPu2O8
Radiation: Cu Ka
Structure: a structure optimized by DFT (PBE)
Neutral-atom scattering factors, no anomalous dispersion.

Cell and atoms:
```
BaNdPu2O8
1.0
-2.8142 2.8142 5.3634
2.8142 -2.8142 5.3634
2.8142 2.8142 -5.3634
Ba Nd Pu O
1 1 2 8
direct
0.0000 0.0000 0.0000 Ba
0.7500 0.2500 0.5000 Nd
0.2500 0.7500 0.5000 Pu
0.5000 0.5000 0.0000 Pu
0.1574 0.1328 0.5485 O
0.1574 0.6089 0.0246 O
0.3911 0.4157 0.5485 O
0.3911 0.8426 0.9754 O
0.5843 0.1328 0.9754 O
0.5843 0.6089 0.4515 O
0.8672 0.4157 0.0246 O
0.8672 0.8426 0.4515 O
```

Most intense lines, 2θ from 10° to 90°, by angle:
2θ (°)  d (Å)  Rel. int.
17.80  4.984  12
27.92  3.196  100
31.80  2.814  24
33.41  2.682  11
45.59  1.990  18
46.79  1.941  33
54.30  1.689  32
56.42  1.631  16
75.35  1.261  13
85.16  1.139  11

***

[3]
Simulated XRD peak list
Compound: Ba4NdRu3O12
Radiation: Cu Ka
Structure: a structure optimized by DFT (PBE)
Neutral-atom scattering factors, no anomalous dispersion.

Cell and atoms:
```
Ba4NdRu3O12
1.0
5.1990 -2.9978 0.0000
5.1990 2.9978 0.0000
-4.0500 0.0000 9.9705
Ba Nd Ru O
4 1 3 12
direct
0.1286 0.1286 0.3907 Ba
0.2751 0.2751 0.8482 Ba
0.7249 0.7249 0.1518 Ba
0.8714 0.8714 0.6093 Ba
0.0000 0.0000 0.0000 Nd
0.4290 0.4290 0.2434 Ru
0.5000 0.5000 0.5000 Ru
0.5710 0.5710 0.7566 Ru
0.1538 0.6151 0.3645 O
0.2411 0.2411 0.1079 O
0.2524 0.7223 0.1505 O
0.2777 0.7476 0.8495 O
0.3763 0.3763 0.6058 O
0.3849 0.8462 0.6355 O
0.6151 0.1538 0.3645 O
0.6237 0.6237 0.3942 O
0.7223 0.2524 0.1505 O
0.7476 0.2777 0.8495 O
0.7589 0.7589 0.8921 O
0.8462 0.3849 0.6355 O
```

Most intense lines, 2θ from 10° to 90°, by angle:
2θ (°)  d (Å)  Rel. int.
26.23  3.398  22
27.42  3.253  41
29.02  3.077  14
29.81  2.997  100
40.11  2.248  23
41.77  2.163  12
45.44  1.996  12
52.91  1.730  19
61.92  1.499  18
85.76  1.133  12

***

[4]
Simulated XRD peak list
Compound: BaNdScO4
Radiation: Cu Ka
Structure: a structure optimized by DFT (PBE)
Neutral-atom scattering factors, no anomalous dispersion.

Cell and atoms:
```
BaNdScO4
1.0
-2.0448 2.0448 6.4639
2.0448 -2.0448 6.4639
2.0448 2.0448 -6.4639
Ba Nd Sc O
1 1 1 4
direct
0.0000 0.0000 0.0000 Ba
0.7149 0.7149 0.0000 Nd
0.3518 0.3518 0.0000 Sc
0.1891 0.1891 0.0000 O
0.3369 0.8369 0.5000 O
0.5320 0.5320 0.0000 O
0.8369 0.3369 0.5000 O
```

Most intense lines, 2θ from 10° to 90°, by angle:
2θ (°)  d (Å)  Rel. int.
22.81  3.899  36
27.60  3.232  17
30.13  2.966  100
30.92  2.892  72
41.92  2.155  47
44.30  2.045  37
53.00  1.728  26
54.51  1.683  53
72.77  1.300  21
79.90  1.201  16

***

[5]
Simulated XRD peak list
Compound: BaNdTeO6
Radiation: Cu Ka
Structure: a structure optimized by DFT (PBE)
Neutral-atom scattering factors, no anomalous dispersion.

Cell and atoms:
```
BaNdTeO6
1.0
5.8760 0.0000 0.0000
-2.9380 5.0887 0.0000
0.0000 0.0000 5.5375
Ba Nd Te O
1 1 1 6
direct
0.0000 0.0000 0.0000 Ba
0.3333 0.6667 0.5000 Nd
0.6667 0.3333 0.5000 Te
0.4002 0.0526 0.7004 O
0.4002 0.3475 0.2996 O
0.6525 0.0526 0.2996 O
0.6525 0.5998 0.7004 O
0.9474 0.3475 0.7004 O
0.9474 0.5998 0.2996 O
```

Most intense lines, 2θ from 10° to 90°, by angle:
2θ (°)  d (Å)  Rel. int.
16.01  5.538  17
23.75  3.747  100
30.42  2.938  46
32.33  2.769  10
34.56  2.595  11
38.96  2.312  25
44.99  2.015  46
50.21  1.817  26
54.06  1.696  15
64.42  1.446  11

***

[6]
Simulated XRD peak list
Compound: Ba6Nd2Ti4O17
Radiation: Cu Ka
Structure: a structure optimized by DFT (PBE)
Neutral-atom scattering factors, no anomalous dispersion.

Cell and atoms:
```
Ba6Nd2Ti4O17
1.0
6.0659 0.0000 0.0000
-3.0329 5.2532 0.0000
0.0000 0.0000 30.4789
Ba Nd Ti O
12 4 8 34
direct
0.0000 0.0000 0.0000 Ba
0.0000 0.0000 0.2500 Ba
0.0000 0.0000 0.5000 Ba
0.0000 0.0000 0.7500 Ba
0.3333 0.6667 0.0888 Ba
0.3333 0.6667 0.4112 Ba
0.3333 0.6667 0.6868 Ba
0.3333 0.6667 0.8132 Ba
0.6667 0.3333 0.1868 Ba
0.6667 0.3333 0.3132 Ba
0.6667 0.3333 0.5888 Ba
0.6667 0.3333 0.9112 Ba
0.0000 0.0000 0.1264 Nd
0.0000 0.0000 0.3736 Nd
0.0000 0.0000 0.6264 Nd
0.0000 0.0000 0.8736 Nd
0.3333 0.6667 0.2042 Ti
0.3333 0.6667 0.2958 Ti
0.3333 0.6667 0.5526 Ti
0.3333 0.6667 0.9474 Ti
0.6667 0.3333 0.0526 Ti
0.6667 0.3333 0.4474 Ti
0.6667 0.3333 0.7042 Ti
0.6667 0.3333 0.7958 Ti
0.0370 0.5185 0.2500 O
0.1699 0.3398 0.5749 O
0.1699 0.3398 0.9251 O
0.1699 0.8301 0.5749 O
0.1699 0.8301 0.9251 O
0.1782 0.3564 0.1710 O
0.1782 0.3564 0.3290 O
0.1782 0.8218 0.1710 O
0.1782 0.8218 0.3290 O
0.3333 0.6667 0.0058 O
0.3333 0.6667 0.4942 O
0.3398 0.1699 0.0749 O
0.3398 0.1699 0.4251 O
0.3564 0.1782 0.6710 O
0.3564 0.1782 0.8290 O
0.4815 0.5185 0.2500 O
0.4815 0.9630 0.2500 O
0.5185 0.0370 0.7500 O
0.5185 0.4815 0.7500 O
0.6436 0.8218 0.1710 O
0.6436 0.8218 0.3290 O
0.6602 0.8301 0.5749 O
0.6602 0.8301 0.9251 O
0.6667 0.3333 0.5058 O
0.6667 0.3333 0.9942 O
0.8218 0.1782 0.6710 O
0.8218 0.1782 0.8290 O
0.8218 0.6436 0.6710 O
0.8218 0.6436 0.8290 O
0.8301 0.1699 0.0749 O
0.8301 0.1699 0.4251 O
0.8301 0.6602 0.0749 O
0.8301 0.6602 0.4251 O
0.9630 0.4815 0.7500 O
```

Most intense lines, 2θ from 10° to 90°, by angle:
2θ (°)  d (Å)  Rel. int.
26.59  3.352  22
28.95  3.084  76
29.45  3.033  100
40.09  2.249  13
41.77  2.162  40
51.93  1.761  29
52.24  1.751  20
61.10  1.517  21
69.01  1.361  14
84.52  1.146  10